Structure and calculated powder diffraction line list of K4Pr3MnO8 (DFT lattice parameters and positions (PBE+U); CuKα).
Lines closer than 0.1° are merged.

Peak list (8 most intense, 2θ from 15° to 90°, sorted by position)
2theta, intensity
28.15, 667
29.64, 237
30.13, 378
30.38, 729
32.97, 622
35.26, 1000
47.75, 363
50.31, 346

Structure:
a = 7.2695 Å, b = 7.2695 Å, c = 7.4374 Å
α = 117.25°, β = 117.25°, γ = 57.55°
Fractional coordinates of all 16 atoms:
K 0.0000 0.0000 0.0000
K 0.0000 0.5000 0.0000
K 0.5000 0.0000 0.0000
K 0.5000 0.5000 0.0000
Pr 0.0000 0.0000 0.5000
Pr 0.0000 0.5000 0.5000
Pr 0.5000 0.0000 0.5000
Mn 0.5000 0.5000 0.5000
O 0.2217 0.2217 0.6936
O 0.2323 0.2323 0.2708
O 0.2673 0.6893 0.6657
O 0.3107 0.7327 0.3343
O 0.6893 0.2673 0.6657
O 0.7327 0.3107 0.3343
O 0.7677 0.7677 0.7292
O 0.7783 0.7783 0.3064